# 1
# BaH6Os
Simulated powder diffractogram, λ = 1.5418 Å (Cu Kα). Input: a structure optimized by DFT (PBE).
Neutral-atom scattering factors, no anomalous dispersion.

Most intense lines, 10 to 90 degrees two-theta, sorted by position:
2θ/deg	d_spacing	intensity
25.9	3.444	100
32.9	2.719	53
40.6	2.225	31
42.4	2.134	27
53.2	1.722	14
54.7	1.679	26
58.8	1.570	10
64.0	1.455	16
65.2	1.431	15
75.1	1.265	10
83.3	1.160	8
84.4	1.148	8

Atomic structure:
abc: 5.4386 5.4386 10.0951
angles: 90.00 90.00 120.00
Space group R-3m (No. 166, hexagonal axes)
Symmetry-distinct sites (fractional):
Ba 0.0000 0.0000 0.0000 [3 per cell]
H 0.0069 0.5034 0.8938 [18 per cell]
Os 0.0000 0.0000 0.5000 [3 per cell]

***

# 2
# Th3Sb2
Simulated powder diffractogram, λ = 1.5418 Å (Cu Kα). Input: a structure optimized by DFT (PBE).
Neutral-atom scattering factors, no anomalous dispersion.

Most intense lines, 10 to 90 degrees two-theta, sorted by position:
2θ/deg	d_spacing	intensity
24.7	3.605	86
25.8	3.449	55
28.2	3.169	26
30.9	2.890	64
31.5	2.837	57
32.0	2.795	25
34.9	2.569	100
37.1	2.422	20
41.7	2.166	24
48.2	1.888	47
50.6	1.802	20
70.7	1.332	24

Atomic structure:
abc: 8.7655 11.8668 6.3373
angles: 90.00 90.00 90.00
Space group Ibam (No. 72)
Symmetry-distinct sites (fractional):
Th 0.0000 0.0000 0.2500 [4 per cell]
Th 0.1412 0.3254 0.0000 [8 per cell]
Sb 0.1986 0.4072 0.5000 [8 per cell]

***

# 3
# CePmDy2Tm4
Simulated powder diffractogram, λ = 1.5418 Å (Cu Kα). Input: a structure optimized by DFT (PBE).
Neutral-atom scattering factors, no anomalous dispersion.

Most intense lines, 10 to 90 degrees two-theta, sorted by position:
2θ/deg	d_spacing	intensity
31.1	2.878	100
35.8	2.511	17
35.9	2.502	17
36.4	2.466	16
51.6	1.772	12
52.0	1.758	24
61.4	1.511	14
61.5	1.507	14
62.2	1.492	14
64.8	1.439	12
84.3	1.149	6
84.9	1.142	6

Atomic structure:
abc: 5.0039 5.0216 9.8658
angles: 90.00 90.00 90.00
Space group Pmmm (No. 47)
Symmetry-distinct sites (fractional):
Ce 0.0000 0.0000 0.0000 [1 per cell]
Pm 0.5000 0.5000 0.5000 [1 per cell]
Dy 0.0000 0.0000 0.5000 [1 per cell]
Dy 0.5000 0.5000 0.0000 [1 per cell]
Tm 0.0000 0.5000 0.2470 [2 per cell]
Tm 0.5000 0.0000 0.2472 [2 per cell]

***

# 4
# HoThTl3
Simulated powder diffractogram, λ = 1.5418 Å (Cu Kα). Input: a structure optimized by DFT (PBE).
Neutral-atom scattering factors, no anomalous dispersion.

Most intense lines, 10 to 90 degrees two-theta, sorted by position:
2θ/deg	d_spacing	intensity
25.9	3.443	53
30.0	2.982	18
31.5	2.843	76
31.9	2.803	52
34.5	2.599	57
34.7	2.583	100
35.6	2.520	30
39.0	2.310	22
45.6	1.988	20
51.2	1.783	19
58.6	1.575	18
64.0	1.455	20

Atomic structure:
abc: 11.9262 11.2114 8.7309
angles: 90.00 90.00 90.00
Space group Cmce (No. 64)
Symmetry-distinct sites (fractional):
Ho 0.2500 0.1193 0.2500 [8 per cell]
Th 0.0000 0.1538 0.5765 [8 per cell]
Tl 0.0000 0.0812 0.2128 [8 per cell]
Tl 0.1650 0.1356 0.9027 [16 per cell]

***

# 5
# NdY2Tm2
Simulated powder diffractogram, λ = 1.5418 Å (Cu Kα). Input: a structure optimized by DFT (PBE).
Neutral-atom scattering factors, no anomalous dispersion.

Most intense lines, 10 to 90 degrees two-theta, sorted by position:
2θ/deg	d_spacing	intensity
10.8	8.170	13
27.6	3.229	42
31.3	2.858	47
31.5	2.837	79
34.2	2.624	100
42.2	2.140	27
51.8	1.766	21
55.9	1.646	16
57.6	1.601	22
61.7	1.502	25
62.0	1.497	13
62.1	1.494	22

Atomic structure:
abc: 3.5152 5.7161 16.3402
angles: 90.00 90.00 90.00
Space group Amm2 (No. 38)
Symmetry-distinct sites (fractional):
Nd 0.0000 0.0000 0.0000 [2 per cell]
Y 0.0000 0.0000 0.7639 [2 per cell]
Y 0.5000 0.0000 0.1932 [2 per cell]
Tm 0.0000 0.0000 0.3833 [2 per cell]
Tm 0.5000 0.0000 0.5734 [2 per cell]

***

# 6
# TaMoPt
Simulated powder diffractogram, λ = 1.5418 Å (Cu Kα). Input: a structure optimized by DFT (PBE).
Neutral-atom scattering factors, no anomalous dispersion.

Most intense lines, 10 to 90 degrees two-theta, sorted by position:
2θ/deg	d_spacing	intensity
38.6	2.333	100
38.8	2.321	95
43.5	2.081	36
45.1	2.011	31
46.3	1.960	29
64.4	1.446	21
65.4	1.427	21
76.5	1.245	14
76.7	1.243	13
78.7	1.216	12
80.5	1.193	11
82.7	1.167	11

Atomic structure:
abc: 8.9202 4.1619 5.6376
angles: 90.00 109.90 90.00
Space group Cm (No. 8)
Symmetry-distinct sites (fractional):
Ta 0.0000 0.0000 0.0000 [2 per cell]
Ta 0.1930 0.5000 0.3569 [2 per cell]
Mo 0.1791 0.5000 0.8408 [2 per cell]
Mo 0.3634 0.0000 0.6804 [2 per cell]
Pt 0.0235 0.0000 0.5034 [2 per cell]
Pt 0.3455 0.0000 0.1787 [2 per cell]

***

# 7
# SmSc2Au3
Simulated powder diffractogram, λ = 1.5418 Å (Cu Kα). Input: a structure optimized by DFT (PBE).
Neutral-atom scattering factors, no anomalous dispersion.

Most intense lines, 10 to 90 degrees two-theta, sorted by position:
2θ/deg	d_spacing	intensity
25.1	3.544	9
25.7	3.463	25
27.1	3.293	10
30.8	2.902	12
36.3	2.477	100
36.7	2.449	56
50.7	1.801	9
52.9	1.731	20
65.0	1.435	11
65.8	1.419	35
67.3	1.391	9
89.5	1.095	9

Atomic structure:
abc: 3.4630 3.4630 10.6313
angles: 90.00 90.00 90.00
Space group P4/mmm (No. 123)
Symmetry-distinct sites (fractional):
Sm 0.0000 0.0000 0.0000 [1 per cell]
Sc 0.0000 0.0000 0.3414 [2 per cell]
Au 0.5000 0.5000 0.1955 [2 per cell]
Au 0.5000 0.5000 0.5000 [1 per cell]

***

# 8
# Pm3Ho2Tm6
Simulated powder diffractogram, λ = 1.5418 Å (Cu Kα). Input: a structure optimized by DFT (PBE).
Neutral-atom scattering factors, no anomalous dispersion.

Most intense lines, 10 to 90 degrees two-theta, sorted by position:
2θ/deg	d_spacing	intensity
30.9	2.892	100
31.0	2.881	99
35.9	2.504	67
36.0	2.493	33
51.5	1.776	12
51.7	1.768	24
51.8	1.765	36
61.3	1.512	21
61.4	1.509	14
61.6	1.506	28
61.7	1.504	14
87.3	1.117	11

Atomic structure:
abc: 6.1128 7.8861 7.9229
angles: 107.45 104.76 97.23
Space group P-1 (No. 2)
Symmetry-distinct sites (fractional):
Pm 0.0000 0.0000 0.0000 [1 per cell]
Pm 0.3638 0.2733 0.4546 [2 per cell]
Ho 0.0902 0.8171 0.3628 [2 per cell]
Tm 0.1819 0.6359 0.7284 [2 per cell]
Tm 0.2730 0.4549 0.0897 [2 per cell]
Tm 0.4541 0.0927 0.8196 [2 per cell]

***

# 9
# LiSmIn6
Simulated powder diffractogram, λ = 1.5418 Å (Cu Kα). Input: a structure optimized by DFT (PBE).
Neutral-atom scattering factors, no anomalous dispersion.

Most intense lines, 10 to 90 degrees two-theta, sorted by position:
2θ/deg	d_spacing	intensity
13.6	6.516	10
23.3	3.815	9
30.7	2.914	4
33.5	2.679	100
36.3	2.478	4
38.2	2.353	17
39.1	2.304	32
55.8	1.646	22
56.5	1.629	11
66.1	1.414	13
67.3	1.392	25
70.3	1.339	11

Atomic structure:
abc: 9.2108 9.2182 4.7067
angles: 90.00 90.00 90.00
Space group Cmmm (No. 65)
Symmetry-distinct sites (fractional):
Li 0.0000 0.0000 0.0000 [2 per cell]
Sm 0.0000 0.5000 0.0000 [2 per cell]
In 0.0000 0.2447 0.5000 [4 per cell]
In 0.2446 0.0000 0.5000 [4 per cell]
In 0.2500 0.2500 0.0000 [4 per cell]

***

# 10
# SmInNi
Simulated powder diffractogram, λ = 1.5418 Å (Cu Kα). Input: a structure optimized by DFT (PBE).
Neutral-atom scattering factors, no anomalous dispersion.

Most intense lines, 10 to 90 degrees two-theta, sorted by position:
2θ/deg	d_spacing	intensity
33.3	2.692	100
34.0	2.640	24
35.8	2.511	47
36.0	2.495	67
39.2	2.301	11
40.8	2.214	21
48.1	1.890	23
49.5	1.842	12
55.5	1.656	22
61.4	1.510	19
64.9	1.438	11
66.1	1.414	20

Atomic structure:
abc: 13.2764 3.7808 7.6754
angles: 90.00 90.00 90.00
Space group Pmma (No. 51)
Symmetry-distinct sites (fractional):
Sm 0.0441 0.0000 0.2249 [4 per cell]
Sm 0.2500 0.0000 0.8583 [2 per cell]
In 0.1216 0.5000 0.5737 [4 per cell]
In 0.2500 0.5000 0.2003 [2 per cell]
Ni 0.0923 0.5000 0.9445 [4 per cell]
Ni 0.2500 0.0000 0.4526 [2 per cell]

***

# 11
# Li3Cd2Br7
Simulated powder diffractogram, λ = 1.5418 Å (Cu Kα). Input: a structure optimized by DFT (PBE).
Neutral-atom scattering factors, no anomalous dispersion.

Most intense lines, 10 to 90 degrees two-theta, sorted by position:
2θ/deg	d_spacing	intensity
14.2	6.224	61
17.9	4.963	86
26.0	3.431	58
27.8	3.210	80
28.0	3.188	100
28.7	3.109	65
30.7	2.911	49
33.3	2.690	45
37.0	2.428	61
38.4	2.346	31
43.8	2.067	65
44.0	2.057	34

Atomic structure:
abc: 24.8957 7.1879 7.1377
angles: 90.00 90.00 90.00
Space group Cmc2_1 (No. 36)
Symmetry-distinct sites (fractional):
Li 0.0000 0.2172 0.0000 [4 per cell]
Li 0.2015 0.2878 0.9216 [8 per cell]
Cd 0.1065 0.2531 0.4750 [8 per cell]
Br 0.0000 0.1225 0.3721 [4 per cell]
Br 0.0753 0.3996 0.8155 [8 per cell]
Br 0.1415 0.0839 0.1555 [8 per cell]
Br 0.2108 0.3781 0.5583 [8 per cell]

***

# 12
# KZnSnTe3
Simulated powder diffractogram, λ = 1.5418 Å (Cu Kα). Input: a structure optimized by DFT (PBE).
Neutral-atom scattering factors, no anomalous dispersion.

Most intense lines, 10 to 90 degrees two-theta, sorted by position:
2θ/deg	d_spacing	intensity
10.8	8.176	100
22.7	3.922	17
26.9	3.316	35
27.6	3.227	77
27.9	3.197	42
30.9	2.892	19
33.4	2.686	26
34.0	2.635	20
41.6	2.172	40
42.3	2.139	25
43.2	2.095	31
50.8	1.797	18

Atomic structure:
abc: 10.0412 4.2777 10.3755
angles: 90.00 106.51 90.00
Space group P2_1/m (No. 11)
Symmetry-distinct sites (fractional):
K 0.1930 0.2500 0.2422 [2 per cell]
Zn 0.0781 0.2500 0.6038 [2 per cell]
Sn 0.3404 0.7500 0.8750 [2 per cell]
Te 0.1210 0.2500 0.8709 [2 per cell]
Te 0.2025 0.7500 0.5285 [2 per cell]
Te 0.4596 0.7500 0.1720 [2 per cell]

***

# 13
# SnSb2Pb4
Simulated powder diffractogram, λ = 1.5418 Å (Cu Kα). Input: a structure optimized by DFT (PBE).
Neutral-atom scattering factors, no anomalous dispersion.

Most intense lines, 10 to 90 degrees two-theta, sorted by position:
2θ/deg	d_spacing	intensity
17.8	4.987	27
25.3	3.526	78
28.4	3.141	65
29.4	3.041	100
33.7	2.657	65
34.0	2.634	30
36.0	2.493	37
39.1	2.303	32
42.9	2.110	49
47.7	1.907	39
63.3	1.469	28
67.3	1.392	25

Atomic structure:
abc: 14.0939 9.5777 9.9719
angles: 90.00 134.95 90.00
Space group C2/c (No. 15)
Symmetry-distinct sites (fractional):
Sn 0.0000 0.1249 0.2500 [4 per cell]
Sb 0.0000 0.5000 0.0000 [4 per cell]
Sb 0.2500 0.2500 0.0000 [4 per cell]
Pb 0.0002 0.1772 0.5675 [8 per cell]
Pb 0.1824 0.4274 0.4320 [8 per cell]